# 1
Simulated powder XRD pattern of SnH4SNO4F for a wavelength of 1.5418 Å, from a DFT-relaxed cell (PBE, the Materials Project).

The 10 most intense peaks (10 to 90 degrees two-theta), sorted by position:
2θ (°), Rel. int.
12.5, 100
17.6, 25
21.6, 34
23.2, 41
25.9, 29
26.2, 49
27.2, 25
30.1, 21
32.1, 38
40.2, 18

Crystal structure
```
SnH4SNO4F
1.0
5.0548 0.0000 0.0000
0.0000 14.1244 0.0000
-0.5990 0.0000 9.1254
Sn H S N O F
4 16 4 4 16 4
Direct
0.1143 0.2348 0.4617 Sn
0.1143 0.2652 0.9617 Sn
0.8857 0.7348 0.0383 Sn
0.8857 0.7652 0.5383 Sn
0.0956 0.5872 0.2668 H
0.0956 0.9128 0.7668 H
0.2476 0.5496 0.1194 H
0.2476 0.9504 0.6194 H
0.3596 0.0636 0.7612 H
0.3596 0.4364 0.2612 H
0.4149 0.6159 0.2494 H
0.4149 0.8841 0.7494 H
0.5851 0.1159 0.2506 H
0.5851 0.3841 0.7506 H
0.6404 0.5636 0.7388 H
0.6404 0.9364 0.2388 H
0.7524 0.0496 0.3806 H
0.7524 0.4504 0.8806 H
0.9044 0.0872 0.2332 H
0.9044 0.4128 0.7332 H
0.2698 0.6289 0.7841 S
0.2698 0.8711 0.2841 S
0.7302 0.1289 0.7159 S
0.7302 0.3711 0.2159 S
0.2354 0.6028 0.1944 N
0.2354 0.8972 0.6944 N
0.7646 0.1028 0.3056 N
0.7646 0.3972 0.8056 N
0.1467 0.6448 0.6345 O
0.1467 0.8552 0.1345 O
0.2035 0.5383 0.8452 O
0.2035 0.9617 0.3452 O
0.2398 0.7116 0.8795 O
0.2398 0.7884 0.3795 O
0.4124 0.1287 0.7356 O
0.4124 0.3713 0.2356 O
0.5876 0.6287 0.7644 O
0.5876 0.8713 0.2644 O
0.7602 0.2116 0.6205 O
0.7602 0.2884 0.1205 O
0.7965 0.0383 0.6548 O
0.7965 0.4617 0.1548 O
0.8533 0.1448 0.8655 O
0.8533 0.3552 0.3655 O
0.2179 0.1615 0.1137 F
0.2179 0.3385 0.6137 F
0.7821 0.6615 0.3863 F
0.7821 0.8385 0.8863 F
```

***

# 2
Simulated powder XRD pattern of LiBi2P5O18 for a wavelength of 1.5418 Å, from a DFT-relaxed cell (PBE, the Materials Project).

The 10 most intense peaks (10 to 90 degrees two-theta), sorted by position:
2θ (°), Rel. int.
11.5, 100
17.4, 51
17.6, 71
18.8, 44
19.2, 62
25.6, 58
26.1, 36
26.6, 32
26.8, 40
28.7, 33

Crystal structure
```
LiBi2P5O18
1.0
6.8341 0.0000 0.0000
-0.4279 9.7805 0.0000
-0.5375 -1.1443 11.0265
Li Bi P O
2 4 10 36
Direct
0.1320 0.2151 0.1971 Li
0.8680 0.7849 0.8029 Li
0.2358 0.3569 0.8986 Bi
0.3319 0.7665 0.4481 Bi
0.6681 0.2335 0.5519 Bi
0.7642 0.6431 0.1014 Bi
0.1578 0.5734 0.6737 P
0.1694 0.2721 0.5957 P
0.2221 0.0068 0.9065 P
0.2722 0.5827 0.1533 P
0.4830 0.0456 0.2916 P
0.5170 0.9544 0.7084 P
0.7278 0.4173 0.8467 P
0.7779 0.9932 0.0935 P
0.8306 0.7279 0.4043 P
0.8422 0.4266 0.3263 P
0.0103 0.8197 0.4524 O
0.0162 0.3409 0.3161 O
0.0406 0.9558 0.8299 O
0.0804 0.4215 0.6101 O
0.0927 0.6721 0.1365 O
0.2146 0.4306 0.0979 O
0.2212 0.1574 0.9726 O
0.2549 0.2418 0.7209 O
0.2598 0.5482 0.7978 O
0.2710 0.9153 0.0053 O
0.3175 0.6193 0.5899 O
0.3314 0.9313 0.3194 O
0.3344 0.5842 0.2890 O
0.3386 0.2611 0.5099 O
0.3592 0.9297 0.6022 O
0.3837 0.1684 0.2555 O
0.4045 0.0213 0.8218 O
0.4391 0.6393 0.0782 O
0.5609 0.3607 0.9218 O
0.5955 0.9787 0.1782 O
0.6163 0.8316 0.7445 O
0.6408 0.0703 0.3978 O
0.6614 0.7389 0.4901 O
0.6656 0.4158 0.7110 O
0.6686 0.0687 0.6806 O
0.6825 0.3807 0.4101 O
0.7290 0.0847 0.9947 O
0.7402 0.4518 0.2022 O
0.7451 0.7582 0.2791 O
0.7788 0.8426 0.0274 O
0.7854 0.5694 0.9021 O
0.9073 0.3279 0.8635 O
0.9196 0.5785 0.3899 O
0.9594 0.0442 0.1701 O
0.9838 0.6591 0.6839 O
0.9897 0.1803 0.5476 O
```

***

# 3
Simulated powder XRD pattern of GdCdPd for a wavelength of 1.5418 Å, from a DFT-relaxed cell (PBE, the Materials Project).

The 10 most intense peaks (10 to 90 degrees two-theta), sorted by position:
2θ (°), Rel. int.
32.5, 100
35.3, 87
35.8, 48
40.8, 36
42.7, 23
45.8, 24
55.1, 17
59.5, 21
63.0, 19
65.8, 30

Crystal structure
```
GdCdPd
1.0
7.6557 0.0000 0.0000
-3.8279 6.6301 0.0000
0.0000 0.0000 3.9621
Gd Cd Pd
3 3 3
Direct
0.0000 0.5935 0.0000 Gd
0.4065 0.4065 0.0000 Gd
0.5935 0.0000 0.0000 Gd
0.0000 0.2542 0.5000 Cd
0.2542 0.0000 0.5000 Cd
0.7458 0.7458 0.5000 Cd
0.0000 0.0000 0.0000 Pd
0.3333 0.6667 0.5000 Pd
0.6667 0.3333 0.5000 Pd
```

***

# 4
Simulated powder XRD pattern of Tm3Ga9Pt2 for a wavelength of 1.5418 Å, from a DFT-relaxed cell (PBE, the Materials Project).

The 10 most intense peaks (10 to 90 degrees two-theta), sorted by position:
2θ (°), Rel. int.
34.5, 15
35.0, 29
35.6, 100
37.5, 15
37.6, 26
42.9, 32
44.5, 18
56.5, 15
63.5, 13
73.9, 14

Crystal structure
```
Tm3Ga9Pt2
1.0
-2.1080 4.9455 6.1132
2.1080 -4.9455 6.1132
2.1080 4.9455 -6.1132
Tm Ga Pt
3 9 2
Direct
0.0000 0.0000 0.0000 Tm
0.3092 0.3092 0.0000 Tm
0.6908 0.6908 0.0000 Tm
0.0283 0.6571 0.3712 Ga
0.1463 0.8630 0.2833 Ga
0.2860 0.6571 0.6288 Ga
0.4202 0.1370 0.2833 Ga
0.5000 0.0000 0.5000 Ga
0.5798 0.8630 0.7167 Ga
0.7140 0.3429 0.3712 Ga
0.8537 0.1370 0.7167 Ga
0.9717 0.3429 0.6288 Ga
0.3027 0.5000 0.8027 Pt
0.6973 0.5000 0.1973 Pt
```

***

# 5
Simulated powder XRD pattern of Dy2CuB8O16 for a wavelength of 1.5418 Å, from a DFT-relaxed cell (PBE, the Materials Project).

The 10 most intense peaks (10 to 90 degrees two-theta), sorted by position:
2θ (°), Rel. int.
17.6, 100
20.9, 45
28.5, 29
31.5, 22
31.7, 31
33.6, 43
34.8, 22
35.6, 22
44.0, 36
44.7, 41

Crystal structure
```
Dy2CuB8O16
1.0
10.2688 0.0000 0.0000
0.0000 8.4904 0.0000
-0.0338 0.0000 6.2634
Dy Cu B O
4 2 16 32
Direct
0.1821 0.0063 0.4954 Dy
0.1821 0.4937 0.9954 Dy
0.8179 0.5063 0.0046 Dy
0.8179 0.9937 0.5046 Dy
0.5000 0.0000 0.5000 Cu
0.5000 0.5000 0.0000 Cu
0.9999 0.1823 0.8873 B
0.9999 0.3177 0.3873 B
0.0001 0.6823 0.6127 B
0.0001 0.8177 0.1127 B
0.1937 0.0036 0.9944 B
0.1937 0.4964 0.4944 B
0.3733 0.6933 0.3795 B
0.3733 0.8067 0.8795 B
0.3815 0.1908 0.1158 B
0.3815 0.3092 0.6158 B
0.6185 0.6908 0.3842 B
0.6185 0.8092 0.8842 B
0.6267 0.1933 0.1205 B
0.6267 0.3067 0.6205 B
0.8063 0.5036 0.5056 B
0.8063 0.9964 0.0056 B
0.0070 0.6634 0.0605 O
0.0070 0.8366 0.5605 O
0.1099 0.5871 0.6418 O
0.1099 0.9129 0.1418 O
0.1213 0.1111 0.8482 O
0.1213 0.3889 0.3482 O
0.2657 0.5953 0.3431 O
0.2657 0.9047 0.8431 O
0.2753 0.0908 0.1482 O
0.2753 0.4092 0.6482 O
0.3568 0.6549 0.9372 O
0.3568 0.8451 0.4372 O
0.3625 0.1574 0.5590 O
0.3625 0.3426 0.0590 O
0.4956 0.6258 0.3501 O
0.4956 0.8742 0.8501 O
0.5044 0.1258 0.1499 O
0.5044 0.3742 0.6499 O
0.6375 0.6574 0.9410 O
0.6375 0.8426 0.4410 O
0.6432 0.1549 0.5628 O
0.6432 0.3451 0.0628 O
0.7247 0.5908 0.3518 O
0.7247 0.9092 0.8518 O
0.7343 0.0953 0.1569 O
0.7343 0.4047 0.6569 O
0.8787 0.6111 0.6518 O
0.8787 0.8889 0.1518 O
0.8901 0.0871 0.8582 O
0.8901 0.4129 0.3582 O
0.9930 0.1634 0.4395 O
0.9930 0.3366 0.9395 O
```